# 1
Simulated X-ray powder pattern
Compound: SrCaPrSbO6
Radiation: CuKα
Structure: a DFT-relaxed cell (PBE, the Materials Project)
Intensities are scaled so that the largest is 100.

Atomic structure:
Lattice parameters (Å, degrees): 8.456 8.468 8.470 90.00 90.00 90.00
Space group P222 (No. 16)
Unique sites:
Sr (0.000, 0.000, 0.000) x1
Sr (0.000, 0.000, 0.500) x1
Sr (0.500, 0.000, 0.000) x1
Sr (0.500, 0.500, 0.500) x1
Ca (0.000, 0.500, 0.000) x1
Ca (0.000, 0.500, 0.500) x1
Ca (0.500, 0.000, 0.500) x1
Ca (0.500, 0.500, 0.000) x1
Pr (0.250, 0.252, 0.750) x4
Sb (0.250, 0.253, 0.251) x4
O (0.021, 0.216, 0.200) x4
O (0.195, 0.480, 0.295) x4
O (0.216, 0.203, 0.481) x4
O (0.293, 0.307, 0.022) x4
O (0.294, 0.021, 0.214) x4
O (0.480, 0.287, 0.296) x4

Peak list (10 most intense, 10 to 90 degrees two-theta, most intense first)
2θ (°)	I/Imax	hkl
29.86	100.0	0 2 2
53.00	45.5	4 2 2
42.73	28.5	4 0 0
20.99	22.7	2 0 0
85.93	22.3	4 6 2
62.02	16.1	4 0 4
70.31	12.0	0 6 2
48.07	9.7	0 4 2
70.41	6.0	6 2 0
78.25	5.1	4 4 4

# 2
Simulated X-ray powder pattern
Compound: Ce5C2Cl9
Radiation: CuKα
Structure: a DFT-relaxed cell (PBE, the Materials Project)
Intensities are scaled so that the largest is 100.

Atomic structure:
Lattice parameters (Å, degrees): 8.686 8.802 11.907 84.58 83.78 60.90
Space group P-1 (No. 2)
Unique sites:
Ce (0.103, 0.205, 0.010) x2
Ce (0.128, 0.765, 0.267) x2
Ce (0.206, 0.171, 0.487) x2
Ce (0.234, 0.406, 0.733) x2
Ce (0.378, 0.902, 0.783) x2
C (0.140, 0.192, 0.813) x2
C (0.170, 0.179, 0.688) x2
Cl (0.000, 0.000, 0.500) x1
Cl (0.071, 0.848, 0.769) x2
Cl (0.152, 0.383, 0.253) x2
Cl (0.164, 0.559, 0.502) x2
Cl (0.210, 0.834, 0.028) x2
Cl (0.213, 0.460, 0.966) x2
Cl (0.394, 0.926, 0.278) x2
Cl (0.465, 0.825, 0.550) x2
Cl (0.496, 0.488, 0.245) x2
Cl (0.500, 0.000, 0.000) x1

Peak list (10 most intense, 10 to 90 degrees two-theta, most intense first)
2θ (°)	I/Imax	hkl
30.24	100.0	0 0 4
33.38	55.7	2 3 2
36.44	53.4	2 3 -2
24.92	42.8	1 -1 2
24.07	33.8	1 2 2
11.69	31.6	1 0 0
25.24	29.1	2 0 -1
43.47	28.8	4 3 1
13.43	27.5	1 0 1
24.17	27.0	2 1 2

# 3
Simulated X-ray powder pattern
Compound: Na3ScCl6
Radiation: CuKα
Structure: a DFT-relaxed cell (PBE, the Materials Project)
Intensities are scaled so that the largest is 100.

Atomic structure:
Lattice parameters (Å, degrees): 6.788 7.216 12.031 90.00 123.80 90.00
Space group P2_1/c (No. 14)
Unique sites:
Na (0.000, 0.000, 0.000) x2
Na (0.216, 0.079, 0.742) x4
Sc (0.500, 0.000, 0.500) x2
Cl (0.136, 0.176, 0.439) x4
Cl (0.261, 0.705, 0.426) x4
Cl (0.399, 0.055, 0.266) x4

Peak list (10 most intense, 10 to 90 degrees two-theta, most intense first)
2θ (°)	I/Imax	hkl
29.98	100.0	1 0 -4
29.07	98.5	2 1 -2
30.54	89.2	2 1 -3
36.34	86.0	2 2 -2
29.75	82.3	1 0 2
45.62	80.4	3 1 -1
29.42	79.1	1 2 0
40.58	70.6	2 2 0
17.94	69.4	1 1 -1
15.14	68.3	0 1 1

# 4
Simulated X-ray powder pattern
Compound: RbNb3CuCl9
Radiation: CuKα
Structure: a DFT-relaxed cell (PBE, the Materials Project)
Intensities are scaled so that the largest is 100.

Atomic structure:
Lattice parameters (Å, degrees): 9.456 9.471 9.475 119.71 105.58 95.73
Space group P-1 (No. 2)
Unique sites:
Rb (0.165, 0.239, 0.025) x2
Nb (0.359, 0.803, 0.482) x2
Nb (0.362, 0.923, 0.249) x2
Nb (0.367, 0.157, 0.603) x2
Cu (0.132, 0.555, 0.687) x2
Cl (0.170, 0.547, 0.450) x2
Cl (0.172, 0.676, 0.181) x2
Cl (0.176, 0.823, 0.927) x2
Cl (0.179, 0.952, 0.598) x2
Cl (0.180, 0.095, 0.324) x2
Cl (0.197, 0.352, 0.735) x2
Cl (0.490, 0.583, 0.357) x2
Cl (0.495, 0.728, 0.085) x2
Cl (0.499, 0.857, 0.773) x2

Peak list (10 most intense, 10 to 90 degrees two-theta, most intense first)
2θ (°)	I/Imax	hkl
35.17	100.0	1 -1 3
36.03	47.9	2 3 -2
12.84	44.5	1 -1 0
11.56	43.2	0 0 1
10.11	39.5	1 0 0
10.86	37.4	0 1 -1
14.06	34.9	1 1 -1
28.71	29.3	-1 2 1
11.20	27.2	0 1 0
35.64	26.9	1 -3 3

# 5
Simulated X-ray powder pattern
Compound: V2Co3N4
Radiation: CuKα
Structure: a DFT-relaxed cell (PBE, the Materials Project)
Intensities are scaled so that the largest is 100.

Atomic structure:
Lattice parameters (Å, degrees): 8.410 7.162 5.644 90.00 90.70 90.00
Space group C2/c (No. 15)
Unique sites:
V (0.179, 0.127, 0.153) x8
Co (0.000, 0.167, 0.750) x4
Co (0.121, 0.393, 0.489) x8
N (0.107, 0.338, 0.970) x8
N (0.148, 0.110, 0.494) x8

Peak list (10 most intense, 10 to 90 degrees two-theta, most intense first)
2θ (°)	I/Imax	hkl
36.49	100.0	2 2 -1
35.95	68.5	1 1 2
38.15	49.6	3 1 1
54.08	29.1	4 0 -2
51.00	27.8	0 4 0
51.38	26.2	1 3 2
51.24	25.5	1 1 -3
53.06	16.0	3 3 1
56.18	15.8	5 1 0
22.77	13.1	1 1 1

# 6
Simulated X-ray powder pattern
Compound: Mg7Si4O16
Radiation: CuKα
Structure: a DFT-relaxed cell (PBE, the Materials Project)
Intensities are scaled so that the largest is 100.

Atomic structure:
Lattice parameters (Å, degrees): 9.923 11.796 5.684 90.00 122.32 90.00
Space group C2 (No. 5)
Unique sites:
Mg (0.000, 0.000, 0.000) x2
Mg (0.000, 0.014, 0.500) x2
Mg (0.000, 0.263, 0.000) x2
Mg (0.221, 0.642, 0.463) x4
Mg (0.234, 0.386, 0.498) x4
Si (0.133, 0.770, 0.881) x4
Si (0.138, 0.516, 0.895) x4
O (0.005, 0.877, 0.750) x4
O (0.010, 0.410, 0.779) x4
O (0.032, 0.131, 0.267) x4
O (0.036, 0.641, 0.783) x4
O (0.230, 0.766, 0.219) x4
O (0.246, 0.512, 0.752) x4
O (0.248, 0.515, 0.238) x4
O (0.248, 0.767, 0.752) x4

Peak list (10 most intense, 10 to 90 degrees two-theta, most intense first)
2θ (°)	I/Imax	hkl
44.29	100.0	2 4 -2
35.73	91.0	0 4 1
62.39	76.0	2 4 2
64.70	66.7	6 4 -2
32.93	61.7	3 1 0
28.06	56.1	3 1 -1
36.17	53.7	2 4 -1
43.15	44.7	4 0 0
34.64	44.4	3 1 -2
63.04	40.6	0 8 0

# 7
Simulated X-ray powder pattern
Compound: Cs2TcI6
Radiation: CuKα
Structure: a DFT-relaxed cell (PBE, the Materials Project)
Intensities are scaled so that the largest is 100.

Atomic structure:
Lattice parameters (Å, degrees): 11.844 11.844 11.844 90.00 90.00 90.00
Space group Fm-3m (No. 225)
Unique sites:
Cs (0.250, 0.250, 0.250) x8
Tc (0.000, 0.000, 0.000) x4
I (0.000, 0.000, 0.233) x24

Peak list (10 most intense, 10 to 90 degrees two-theta, most intense first)
2θ (°)	I/Imax	hkl
26.06	100.0	2 2 2
30.18	76.3	4 0 0
43.21	53.8	4 4 0
51.16	41.2	6 2 2
12.95	21.9	1 1 1
71.21	21.3	8 4 0
53.61	18.1	4 4 4
79.25	15.2	8 4 4
69.15	15.0	6 6 2
39.54	10.9	5 1 1

# 8
Simulated X-ray powder pattern
Compound: CeSe2
Radiation: CuKα
Structure: a DFT-relaxed cell (PBE, the Materials Project)
Intensities are scaled so that the largest is 100.

Atomic structure:
Lattice parameters (Å, degrees): 6.602 7.770 21.622 90.00 90.00 90.00
Space group Pbcn (No. 60)
Unique sites:
Ce (0.000, 0.001, 0.250) x4
Ce (0.001, 0.316, 0.583) x8
Se (0.234, 0.420, 0.477) x8
Se (0.242, 0.063, 0.644) x8
Se (0.248, 0.256, 0.312) x8

Peak list (10 most intense, 10 to 90 degrees two-theta, most intense first)
2θ (°)	I/Imax	hkl
36.93	100.0	2 0 6
21.54	96.3	1 1 3
19.46	85.1	1 1 2
28.23	64.0	1 0 6
36.68	61.5	2 2 2
37.85	45.3	2 2 3
31.43	38.8	1 2 4
18.10	35.1	1 1 1
40.67	34.8	0 2 8
24.17	34.7	1 1 4

# 9
Simulated X-ray powder pattern
Compound: TaTeCl9
Radiation: CuKα
Structure: a DFT-relaxed cell (PBE, the Materials Project)
Intensities are scaled so that the largest is 100.

Atomic structure:
Lattice parameters (Å, degrees): 6.674 9.695 11.769 106.23 105.76 91.01
Space group P-1 (No. 2)
Unique sites:
Ta (0.138, 0.265, 0.210) x2
Te (0.296, 0.337, 0.665) x2
Cl (0.000, 0.055, 0.226) x2
Cl (0.033, 0.794, 0.434) x2
Cl (0.089, 0.601, 0.671) x2
Cl (0.113, 0.743, 0.970) x2
Cl (0.277, 0.365, 0.865) x2
Cl (0.278, 0.503, 0.212) x2
Cl (0.378, 0.156, 0.116) x2
Cl (0.393, 0.307, 0.413) x2
Cl (0.474, 0.128, 0.660) x2

Peak list (10 most intense, 10 to 90 degrees two-theta, most intense first)
2θ (°)	I/Imax	hkl
16.35	100.0	0 1 -2
16.03	47.4	1 -1 0
17.64	34.4	1 1 0
19.17	30.7	0 2 0
22.16	30.4	-1 1 2
39.79	24.4	1 0 4
10.58	23.3	0 1 -1
40.06	19.6	1 -4 0
13.88	17.3	1 0 0
40.47	17.3	1 4 -1